Entry 1:
Diffraction record for Li4In3Ga2. The X-ray diffraction stick pattern is calculated, not measured: it uses a crystal structure in Alexandria, relaxed with PBE and Cu Kα X-rays.
Kinematic intensities with the Lorentz-polarization factor, no thermal factor.

Crystal structure
```
data_Li4In3Ga2
_cell_length_a 4.2037
_cell_length_b 5.2648
_cell_length_c 8.9044
_cell_angle_alpha 75.35
_cell_angle_beta 76.60
_cell_angle_gamma 66.65
_space_group_name_H-M_alt 'P 1'
_space_group_IT_number 1
_space_group_name_Hall 'P 1'
loop_
_atom_site_label
_atom_site_type_symbol
_atom_site_fract_x
_atom_site_fract_y
_atom_site_fract_z
Li1 Li 0.0021 0.3159 0.1788
Li2 Li 0.3329 0.4417 0.3916
Li3 Li 0.6671 0.5583 0.6084
Li4 Li 0.9979 0.6841 0.8212
In1 In 0.0000 0.0000 0.5000
In2 In 0.3333 0.7681 0.0638
In3 In 0.6667 0.2319 0.9362
Ga1 Ga 0.3232 0.1371 0.7178
Ga2 Ga 0.6768 0.8629 0.2822
```

Most intense lines, 2θ from 10° to 90°, by angle:
| 2theta | I_rel |
| --- | --- |
| 18.66 | 52 |
| 23.01 | 54 |
| 24.10 | 28 |
| 27.11 | 26 |
| 36.48 | 100 |
| 36.66 | 58 |
| 36.82 | 49 |
| 41.23 | 34 |
| 43.04 | 32 |
| 43.30 | 31 |

---

Entry 2:
Diffraction record for Tb12HoSc2. The X-ray diffraction stick pattern is calculated, not measured: it uses a crystal structure in Alexandria, relaxed with PBE and Cu Kα X-rays.
Kinematic intensities with the Lorentz-polarization factor, no thermal factor.

Crystal structure
```
data_Tb12HoSc2
_cell_length_a 3.5918
_cell_length_b 5.6354
_cell_length_c 23.1997
_cell_angle_alpha 90.00
_cell_angle_beta 94.42
_cell_angle_gamma 90.00
_space_group_name_H-M_alt 'P 1'
_space_group_IT_number 1
_space_group_name_Hall 'P 1'
loop_
_atom_site_label
_atom_site_type_symbol
_atom_site_fract_x
_atom_site_fract_y
_atom_site_fract_z
Tb1 Tb 0.0333 0.0000 0.0667
Tb2 Tb 0.0766 0.5000 0.1505
Tb3 Tb 0.1612 0.0000 0.3197
Tb4 Tb 0.2114 0.5000 0.4217
Tb5 Tb 0.2791 0.0000 0.5584
Tb6 Tb 0.4013 0.0000 0.8058
Tb7 Tb 0.5987 0.0000 0.1942
Tb8 Tb 0.7209 0.0000 0.4416
Tb9 Tb 0.7886 0.5000 0.5783
Tb10 Tb 0.8388 0.0000 0.6803
Tb11 Tb 0.9234 0.5000 0.8495
Tb12 Tb 0.9667 0.0000 0.9333
Ho1 Ho 0.5000 0.5000 0.0000
Sc1 Sc 0.3563 0.5000 0.7152
Sc2 Sc 0.6437 0.5000 0.2848
```

Most intense lines, 2θ from 10° to 90°, by angle:
| 2theta | I_rel |
| --- | --- |
| 30.36 | 22 |
| 30.93 | 16 |
| 31.38 | 25 |
| 31.76 | 49 |
| 32.52 | 100 |
| 34.37 | 28 |
| 34.88 | 26 |
| 44.51 | 16 |
| 57.06 | 20 |
| 61.20 | 15 |